Starting from a DFT-relaxed cell (GGA-PBE, the Materials Project), the powder diffraction line list of MgCr4S8 was simulated for Cu Kα (λ = 1.5418 Å).

Structure:
```
data_MgCr4S8
_symmetry_space_group_name_H-M 'R -3 m'
_symmetry_Int_Tables_number 166
_symmetry_space_group_name_Hall '-R 3 2"'
_cell_length_a 6.9583
_cell_length_b 6.9583
_cell_length_c 17.1246
_cell_angle_alpha 90.00
_cell_angle_beta 90.00
_cell_angle_gamma 120.00
loop_
_atom_site_label
_atom_site_type_symbol
_atom_site_fract_x
_atom_site_fract_y
_atom_site_fract_z
_atom_site_occupancy
Mg1 Mg 0.0000 0.0000 0.0000 1
Cr1 Cr 0.0000 0.0000 0.5000 1
Cr2 Cr 0.0000 0.5000 0.0000 1
S1 S 0.0000 0.0000 0.2585 1
S2 S 0.0198 0.5099 0.2522 1
```

Largest 8 diffraction maxima, by angle, 2θ = 10–90°:
| 2θ/deg | I_rel | index |
| --- | --- | --- |
| 15.56 | 66 | 0 0 3 |
| 30.06 | 12 | 0 1 5 |
| 36.47 | 100 | 0 2 4 |
| 52.44 | 31 | 2 0 8 |
| 52.61 | 31 | 2 2 0 |
| 65.71 | 15 | 4 0 4 |
| 88.65 | 12 | 2 2 12 |
| 88.93 | 12 | 2 4 4 |

=====

Starting from a DFT-relaxed cell (GGA-PBE, the Materials Project), the powder diffraction line list of MgCr4S8 was simulated for Cu Kα (λ = 1.5418 Å).

Structure:
```
data_MgCr4S8
_symmetry_space_group_name_H-M 'P 1'
_symmetry_Int_Tables_number 1
_cell_length_a 6.5154
_cell_length_b 6.5614
_cell_length_c 8.4043
_cell_angle_alpha 112.90
_cell_angle_beta 112.45
_cell_angle_gamma 90.03
loop_
_symmetry_equiv_pos_as_xyz
'x,y,z'
loop_
_atom_site_label
_atom_site_type_symbol
_atom_site_fract_x
_atom_site_fract_y
_atom_site_fract_z
_atom_site_occupancy
Mg1 Mg 0.0000 0.0000 0.0000 1
Cr1 Cr 0.4295 0.1933 0.3861 1
Cr2 Cr 0.8168 0.0539 0.6226 1
Cr3 Cr 0.8169 0.5687 0.6226 1
Cr4 Cr 0.9630 0.1937 0.3866 1
S1 S 0.0947 0.3490 0.6979 1
S2 S 0.1011 0.8620 0.7242 1
S3 S 0.1406 0.3729 0.2756 1
S4 S 0.1407 0.9036 0.2764 1
S5 S 0.6174 0.3494 0.6992 1
S6 S 0.6297 0.8610 0.7225 1
S7 S 0.6608 0.3827 0.3109 1
S8 S 0.6606 0.9291 0.3108 1
```

Largest 8 diffraction maxima, by angle, 2θ = 10–90°:
| 2θ/deg | I_rel | index |
| --- | --- | --- |
| 12.57 | 100 | 0 0 1 |
| 14.91 | 92 | 0 1 0 |
| 15.02 | 27 | 1 0 -1 |
| 23.29 | 17 | 0 1 1 |
| 25.29 | 16 | 0 0 2 |
| 38.96 | 52 | 2 2 -2 |
| 41.07 | 21 | -2 2 1 |
| 47.61 | 26 | 2 0 2 |

=====

Starting from a DFT-relaxed cell (GGA-PBE, the Materials Project), the powder diffraction line list of MgCr4S8 was simulated for Cu Kα (λ = 1.5418 Å).

Structure:
```
data_MgCr4S8
_symmetry_space_group_name_H-M 'R -3 m'
_symmetry_Int_Tables_number 166
_symmetry_space_group_name_Hall '-R 3 2"'
_cell_length_a 6.8243
_cell_length_b 6.8243
_cell_length_c 17.9290
_cell_angle_alpha 90.00
_cell_angle_beta 90.00
_cell_angle_gamma 120.00
loop_
_atom_site_label
_atom_site_type_symbol
_atom_site_fract_x
_atom_site_fract_y
_atom_site_fract_z
_atom_site_occupancy
Mg1 Mg 0.0000 0.0000 0.0000 1
Cr1 Cr 0.0000 0.0000 0.5000 1
Cr2 Cr 0.0000 0.5000 0.5000 1
S1 S 0.0000 0.0000 0.2404 1
S2 S 0.0014 0.5007 0.2416 1
```

Largest 8 diffraction maxima, by angle, 2θ = 10–90°:
| 2θ/deg | I_rel | index |
| --- | --- | --- |
| 14.82 | 75 | 0 0 3 |
| 30.66 | 20 | 0 2 1 |
| 36.42 | 100 | 0 2 4 |
| 46.95 | 15 | 0 2 7 |
| 51.15 | 31 | 2 0 8 |
| 53.73 | 30 | 2 2 0 |
| 66.65 | 14 | 4 0 4 |
| 86.61 | 11 | 2 2 12 |

=====

Starting from a DFT-relaxed cell (GGA-PBE, the Materials Project), the powder diffraction line list of MgCr4S8 was simulated for Cu Kα (λ = 1.5418 Å).

Structure:
```
data_MgCr4S8
_symmetry_space_group_name_H-M 'R 3 m'
_symmetry_Int_Tables_number 160
_symmetry_space_group_name_Hall 'R 3 -2"'
_cell_length_a 6.8949
_cell_length_b 6.8949
_cell_length_c 17.4079
_cell_angle_alpha 90.00
_cell_angle_beta 90.00
_cell_angle_gamma 120.00
loop_
_atom_site_label
_atom_site_type_symbol
_atom_site_fract_x
_atom_site_fract_y
_atom_site_fract_z
_atom_site_occupancy
Mg1 Mg 0.0000 0.0000 0.0000 1
Cr1 Cr 0.0000 0.0000 0.5027 1
Cr2 Cr 0.0169 0.5084 0.9998 1
S1 S 0.0000 0.0000 0.2513 1
S2 S 0.0000 0.0000 0.7329 1
S3 S 0.0190 0.5095 0.2543 1
S4 S 0.1762 0.3524 0.0829 1
```

Largest 8 diffraction maxima, by angle, 2θ = 10–90°:
| 2θ/deg | I_rel | index |
| --- | --- | --- |
| 15.27 | 31 | 0 0 3 |
| 15.69 | 38 | 1 0 1 |
| 36.50 | 100 | 0 2 4 |
| 52.00 | 31 | 2 0 8 |
| 53.13 | 29 | 2 2 0 |
| 66.18 | 14 | 4 0 4 |
| 87.99 | 12 | 2 2 12 |
| 89.78 | 12 | 2 4 4 |